Theoretical powder X-ray diffraction pattern of LiCr4InS8 for λ = 1.5418 Å (Cu Kα), from a crystal structure in the Materials Project, relaxed with PBE.
Peak positions follow from Bragg's law for the DFT cell and can differ from measured ones.

Structure:
a = 7.2315 Å, b = 7.2315 Å, c = 7.2315 Å
α = 60.00°, β = 60.00°, γ = 60.00°
Atoms (fractional coordinates):
Li1 0.0000 0.0000 0.0000
Cr1 0.1110 0.6297 0.6297
Cr2 0.6297 0.1110 0.6297
Cr3 0.6297 0.6297 0.1110
Cr4 0.6297 0.6297 0.6297
In1 0.2500 0.2500 0.2500
S1 0.3904 0.3904 0.3904
S2 0.3904 0.3904 0.8288
S3 0.3904 0.8288 0.3904
S4 0.4125 0.8625 0.8625
S5 0.8288 0.3904 0.3904
S6 0.8625 0.4125 0.8625
S7 0.8625 0.8625 0.4125
S8 0.8625 0.8625 0.8625

Main lines, by intensity (10° ≤ 2θ ≤ 90°):
28.96 deg, I = 100
50.48 deg, I = 79
46.12 deg, I = 58
35.10 deg, I = 44
15.00 deg, I = 36
24.62 deg, I = 33
17.34 deg, I = 31
70.76 deg, I = 18

Theoretical powder X-ray diffraction pattern of Li2MgCu2Si4O12 for λ = 1.5418 Å (Cu Kα), from a crystal structure in the Materials Project, relaxed with PBE.
Peak positions follow from Bragg's law for the DFT cell and can differ from measured ones.

Structure:
a = 5.2611 Å, b = 5.7683 Å, c = 7.5492 Å
α = 84.54°, β = 80.07°, γ = 82.90°
Atoms (fractional coordinates):
Li1 0.0732 0.2428 0.0897
Li2 0.9268 0.7572 0.9103
Mg1 0.0000 0.0000 0.5000
Cu1 0.4923 0.8363 0.6836
Cu2 0.5077 0.1637 0.3164
Si1 0.2211 0.4102 0.6862
Si2 0.3013 0.7767 0.1275
Si3 0.6987 0.2233 0.8725
Si4 0.7789 0.5898 0.3138
O1 0.0755 0.5892 0.1885
O2 0.2287 0.9999 0.2524
O3 0.2360 0.6760 0.5962
O4 0.2677 0.1993 0.5530
O5 0.2751 0.8641 0.9213
O6 0.4127 0.3598 0.8443
O7 0.5873 0.6402 0.1557
O8 0.7249 0.1359 0.0787
O9 0.7323 0.8007 0.4470
O10 0.7640 0.3240 0.4038
O11 0.7713 0.0001 0.7476
O12 0.9245 0.4108 0.8115

Main lines, by intensity (10° ≤ 2θ ≤ 90°):
26.60 deg, I = 100
17.21 deg, I = 65
33.37 deg, I = 60
36.40 deg, I = 57
31.95 deg, I = 56
32.76 deg, I = 49
27.68 deg, I = 44
34.52 deg, I = 43